# 1
Simulated PXRD pattern
Compound: Ca6In2NF
Radiation: a wavelength of 1.5418 Å
Structure: a GGA-PBE-relaxed structure
Peak positions follow from Bragg's law for the DFT cell and can differ from measured ones.

abc: 7.043 7.043 7.043
angles: 60.00 60.00 60.00
Element x y z (fractional)
1 Ca 0.240 0.240 0.760
2 Ca 0.240 0.760 0.240
3 Ca 0.240 0.760 0.760
4 Ca 0.760 0.240 0.240
5 Ca 0.760 0.240 0.760
6 Ca 0.760 0.760 0.240
7 In 0.250 0.250 0.250
8 In 0.750 0.750 0.750
9 N 0.000 0.000 0.000
10 F 0.500 0.500 0.500

Peak list (10 most intense, 10° ≤ 2θ ≤ 90°, sorted by position)
2theta  I/Imax
17.81  16
25.29  42
31.10  100
36.07  65
44.56  17
51.93  42
61.78  37
64.85  13
84.86  15
87.61  17

---

# 2
Simulated PXRD pattern
Compound: ScTlS2
Radiation: a wavelength of 1.5418 Å
Structure: a GGA-PBE-relaxed structure
Peak positions follow from Bragg's law for the DFT cell and can differ from measured ones.

abc: 3.804 3.804 15.015
angles: 90.00 90.00 120.00
Element x y z (fractional)
1 Sc 0.000 0.000 0.000
2 Sc 0.000 0.000 0.500
3 Tl 0.333 0.667 0.250
4 Tl 0.667 0.333 0.750
5 S 0.333 0.667 0.594
6 S 0.333 0.667 0.906
7 S 0.667 0.333 0.094
8 S 0.667 0.333 0.406

Peak list (10 most intense, 10° ≤ 2θ ≤ 90°, sorted by position)
2theta  I/Imax
11.79  49
23.70  27
27.72  55
29.61  43
32.54  100
40.65  28
45.52  22
47.82  30
54.05  18
59.03  18

---

# 3
Simulated PXRD pattern
Compound: Pr2SiS5
Radiation: a wavelength of 1.5418 Å
Structure: a GGA-PBE-relaxed structure
Peak positions follow from Bragg's law for the DFT cell and can differ from measured ones.

abc: 7.610 12.605 7.873
angles: 90.00 101.27 90.00
Element x y z (fractional)
1 Pr 0.160 0.164 0.132
2 Pr 0.160 0.336 0.632
3 Pr 0.240 0.594 0.042
4 Pr 0.240 0.906 0.542
5 Pr 0.760 0.094 0.458
6 Pr 0.760 0.406 0.958
7 Pr 0.840 0.664 0.368
8 Pr 0.840 0.836 0.868
9 Si 0.333 0.616 0.594
10 Si 0.333 0.884 0.094
11 Si 0.667 0.116 0.906
12 Si 0.667 0.384 0.406
13 S 0.131 0.704 0.693
14 S 0.131 0.796 0.193
15 S 0.136 0.122 0.497
16 S 0.136 0.378 0.997
17 S 0.175 0.529 0.386
18 S 0.175 0.971 0.886
19 S 0.421 0.003 0.280
20 S 0.421 0.497 0.780
21 S 0.473 0.228 0.952
22 S 0.473 0.272 0.452
23 S 0.527 0.728 0.548
24 S 0.527 0.772 0.048
25 S 0.579 0.503 0.220
26 S 0.579 0.997 0.720
27 S 0.825 0.029 0.114
28 S 0.825 0.471 0.614
29 S 0.864 0.622 0.003
30 S 0.864 0.878 0.503
31 S 0.869 0.204 0.807
32 S 0.869 0.296 0.307

Peak list (10 most intense, 10° ≤ 2θ ≤ 90°, sorted by position)
2theta  I/Imax
18.17  37
22.98  100
23.82  75
24.31  37
24.85  43
28.00  38
28.27  36
33.15  33
37.33  41
37.53  34

---

# 4
Simulated PXRD pattern
Compound: Pr2TlCd
Radiation: a wavelength of 1.5418 Å
Structure: a GGA-PBE-relaxed structure
Peak positions follow from Bragg's law for the DFT cell and can differ from measured ones.

abc: 5.545 5.545 5.545
angles: 60.00 60.00 60.00
Element x y z (fractional)
1 Pr 0.250 0.250 0.250
2 Pr 0.750 0.750 0.750
3 Tl 0.000 0.000 0.000
4 Cd 0.500 0.500 0.500

Peak list (10 most intense, 10° ≤ 2θ ≤ 90°, sorted by position)
2theta  I/Imax
19.61  4
32.29  100
38.06  3
46.31  18
50.75  1
57.58  38
67.58  12
71.13  1
76.89  16
85.86  4

---

# 5
Simulated PXRD pattern
Compound: Hf3ScGa12
Radiation: a wavelength of 1.5418 Å
Structure: a GGA-PBE-relaxed structure
Peak positions follow from Bragg's law for the DFT cell and can differ from measured ones.

abc: 3.978 3.978 17.607
angles: 90.00 90.00 90.00
Element x y z (fractional)
1 Hf 0.000 0.000 0.000
2 Hf 0.000 0.000 0.236
3 Hf 0.500 0.500 0.738
4 Sc 0.500 0.500 0.500
5 Ga 0.000 0.000 0.495
6 Ga 0.000 0.000 0.742
7 Ga 0.000 0.500 0.119
8 Ga 0.000 0.500 0.368
9 Ga 0.000 0.500 0.619
10 Ga 0.000 0.500 0.869
11 Ga 0.500 0.000 0.119
12 Ga 0.500 0.000 0.368
13 Ga 0.500 0.000 0.619
14 Ga 0.500 0.000 0.869
15 Ga 0.500 0.500 0.245
16 Ga 0.500 0.500 0.994

Peak list (10 most intense, 10° ≤ 2θ ≤ 90°, sorted by position)
2theta  I/Imax
10.05  5
22.92  9
37.96  100
41.01  20
45.61  30
62.99  21
66.48  9
72.68  13
79.19  23
81.16  10

---

# 6
Simulated PXRD pattern
Compound: Mg6CrGa
Radiation: a wavelength of 1.5418 Å
Structure: a GGA-PBE-relaxed structure
Peak positions follow from Bragg's law for the DFT cell and can differ from measured ones.

abc: 4.934 6.192 6.192
angles: 60.28 90.00 90.00
Element x y z (fractional)
1 Mg 0.000 0.000 0.000
2 Mg 0.000 0.501 0.991
3 Mg 0.000 0.991 0.501
4 Mg 0.500 0.166 0.166
5 Mg 0.500 0.171 0.663
6 Mg 0.500 0.663 0.171
7 Cr 0.500 0.662 0.662
8 Ga 0.000 0.504 0.504

Peak list (10 most intense, 10° ≤ 2θ ≤ 90°, sorted by position)
2theta  I/Imax
16.50  42
24.51  18
33.32  27
36.42  39
38.11  100
38.24  52
50.18  16
59.73  17
66.69  27
72.02  18

---

# 7
Simulated PXRD pattern
Compound: Tl2Ge2Se5
Radiation: a wavelength of 1.5418 Å
Structure: a GGA-PBE-relaxed structure
Peak positions follow from Bragg's law for the DFT cell and can differ from measured ones.

abc: 11.337 11.337 9.284
angles: 101.56 101.56 89.74
Element x y z (fractional)
1 Tl 0.078 0.201 0.096
2 Tl 0.198 0.455 0.597
3 Tl 0.201 0.078 0.596
4 Tl 0.455 0.198 0.097
5 Tl 0.545 0.802 0.903
6 Tl 0.799 0.922 0.404
7 Tl 0.802 0.545 0.403
8 Tl 0.922 0.799 0.904
9 Ge 0.136 0.730 0.390
10 Ge 0.267 0.521 0.092
11 Ge 0.270 0.864 0.110
12 Ge 0.479 0.733 0.408
13 Ge 0.521 0.267 0.592
14 Ge 0.730 0.136 0.890
15 Ge 0.733 0.479 0.908
16 Ge 0.864 0.270 0.610
17 Se 0.002 0.244 0.454
18 Se 0.107 0.532 0.232
19 Se 0.109 0.891 0.250
20 Se 0.239 0.672 0.938
21 Se 0.242 0.333 0.930
22 Se 0.244 0.002 0.954
23 Se 0.328 0.761 0.562
24 Se 0.333 0.242 0.430
25 Se 0.465 0.535 0.250
26 Se 0.468 0.893 0.268
27 Se 0.532 0.107 0.732
28 Se 0.535 0.465 0.750
29 Se 0.667 0.758 0.570
30 Se 0.672 0.239 0.438
31 Se 0.756 0.998 0.046
32 Se 0.758 0.667 0.070
33 Se 0.761 0.328 0.062
34 Se 0.891 0.109 0.750
35 Se 0.893 0.468 0.768
36 Se 0.998 0.756 0.546

Peak list (10 most intense, 10° ≤ 2θ ≤ 90°, sorted by position)
2theta  I/Imax
19.92  67
24.08  100
27.94  46
28.12  36
28.27  70
29.51  32
29.91  48
30.08  56
30.77  88
48.16  56

---

# 8
Simulated PXRD pattern
Compound: Ca3Ho
Radiation: a wavelength of 1.5418 Å
Structure: a GGA-PBE-relaxed structure
Peak positions follow from Bragg's law for the DFT cell and can differ from measured ones.

abc: 5.346 5.346 5.346
angles: 90.00 90.00 90.00
Element x y z (fractional)
1 Ca 0.000 0.000 0.500
2 Ca 0.000 0.500 0.000
3 Ca 0.500 0.000 0.000
4 Ho 0.500 0.500 0.500

Peak list (10 most intense, 10° ≤ 2θ ≤ 90°, sorted by position)
2theta  I/Imax
16.58  46
23.53  41
28.93  100
33.52  50
37.62  26
41.37  20
48.14  35
57.14  41
77.89  16
80.31  15

---

Copy entry 3 word for word.
Simulated PXRD pattern
Compound: Pr2SiS5
Radiation: a wavelength of 1.5418 Å
Structure: a GGA-PBE-relaxed structure
Peak positions follow from Bragg's law for the DFT cell and can differ from measured ones.

abc: 7.610 12.605 7.873
angles: 90.00 101.27 90.00
Element x y z (fractional)
1 Pr 0.160 0.164 0.132
2 Pr 0.160 0.336 0.632
3 Pr 0.240 0.594 0.042
4 Pr 0.240 0.906 0.542
5 Pr 0.760 0.094 0.458
6 Pr 0.760 0.406 0.958
7 Pr 0.840 0.664 0.368
8 Pr 0.840 0.836 0.868
9 Si 0.333 0.616 0.594
10 Si 0.333 0.884 0.094
11 Si 0.667 0.116 0.906
12 Si 0.667 0.384 0.406
13 S 0.131 0.704 0.693
14 S 0.131 0.796 0.193
15 S 0.136 0.122 0.497
16 S 0.136 0.378 0.997
17 S 0.175 0.529 0.386
18 S 0.175 0.971 0.886
19 S 0.421 0.003 0.280
20 S 0.421 0.497 0.780
21 S 0.473 0.228 0.952
22 S 0.473 0.272 0.452
23 S 0.527 0.728 0.548
24 S 0.527 0.772 0.048
25 S 0.579 0.503 0.220
26 S 0.579 0.997 0.720
27 S 0.825 0.029 0.114
28 S 0.825 0.471 0.614
29 S 0.864 0.622 0.003
30 S 0.864 0.878 0.503
31 S 0.869 0.204 0.807
32 S 0.869 0.296 0.307

Peak list (10 most intense, 10° ≤ 2θ ≤ 90°, sorted by position)
2theta  I/Imax
18.17  37
22.98  100
23.82  75
24.31  37
24.85  43
28.00  38
28.27  36
33.15  33
37.33  41
37.53  34